Simulated powder XRD pattern of TbVO4F for copper Kα, from the PBE+U geometry in Alexandria.
Lines closer than 0.1° are merged.

Top 6 peaks for 10 to 80 degrees two-theta, by angle:
2θ/deg, Rel. int.
13.72, 1000
19.63, 496
24.71, 821
25.48, 513
30.32, 532
32.18, 506

Atomic structure:
```
TbVO4F
1.0
4.7345 -3.6032 0.0000
4.7345 3.6032 0.0000
-1.1591 0.0000 6.4529
Tb V O F
2 2 8 2
Direct
0.1948 0.1948 0.0823 Tb
0.8052 0.8052 0.9177 Tb
0.3734 0.3734 0.7120 V
0.6266 0.6266 0.2880 V
0.1269 0.4939 0.8409 O
0.3068 0.3068 0.4456 O
0.4391 0.4391 0.2426 O
0.4939 0.1269 0.8409 O
0.5061 0.8731 0.1591 O
0.5609 0.5609 0.7574 O
0.6932 0.6932 0.5544 O
0.8731 0.5061 0.1591 O
0.0155 0.0155 0.8091 F
0.9845 0.9845 0.1909 F
```